1.
For Nd6Co2CuBr3, a cell relaxed with GGA-PBE gives the computed powder diffractogram in this record (Cu Ka).
Neutral-atom scattering factors, no anomalous dispersion.

Cell and atoms:
Lattice parameters (Å, degrees): 7.052 12.222 8.113 90.00 106.83 90.00
Space group C2/m (No. 12)
Unique sites:
1 Nd 0.213 0.000 0.194 x4
2 Nd 0.241 0.324 0.195 x8
3 Co 0.000 0.167 0.000 x4
4 Cu 0.000 0.500 0.000 x2
5 Br 0.000 0.000 0.500 x2
6 Br 0.000 0.334 0.500 x4

Main lines, by angle (2θ = 10–90°):
2θ (°)  I (rel.)
11.39  12.3
26.40  13.8
29.61  100.0
31.82  15.3
37.14  12.1
40.15  27.5
44.49  36.1
54.34  11.6
57.59  12.6
72.77  13.1

=====

2.
For PrDyCoBr, a cell relaxed with GGA-PBE gives the computed powder diffractogram in this record (Cu Ka).
Neutral-atom scattering factors, no anomalous dispersion.

Cell and atoms:
Lattice parameters (Å, degrees): 6.792 3.925 8.130 90.00 106.23 90.00
Space group Cm (No. 8)
Unique sites:
1 Pr 0.000 0.000 0.000 x2
2 Dy 0.207 0.000 0.619 x2
3 Co 0.101 0.500 0.803 x2
4 Br 0.275 0.500 0.325 x2

Main lines, by angle (2θ = 10–90°):
2θ (°)  I (rel.)
11.34  20.2
26.51  22.1
27.33  15.1
30.42  38.1
32.56  100.0
46.29  42.0
47.14  24.8
57.73  19.1
58.97  17.6
77.00  16.2

=====

3.
For Er2CoBr, a cell relaxed with GGA-PBE gives the computed powder diffractogram in this record (Cu Ka).
Neutral-atom scattering factors, no anomalous dispersion.

Cell and atoms:
Lattice parameters (Å, degrees): 3.8243 3.8243 22.6598 90.00 90.00 120.00
Space group R-3m (No. 166, hexagonal axes)
Unique sites:
1 Er 0.0000 0.0000 0.2296 x6
2 Co 0.0000 0.0000 0.5000 x3
3 Br 0.0000 0.0000 0.0000 x3

Main lines, by angle (2θ = 10–90°):
2θ (°)  I (rel.)
11.72  19.1
28.07  21.2
31.28  100.0
33.51  20.9
38.90  16.9
41.97  23.7
47.55  37.4
58.03  17.0
60.83  16.9
78.20  14.1